For RbGdW2O8, DFT lattice parameters and positions (GGA+U) gives the calculated powder XRD pattern in this record (copper Kα).

Largest 10 diffraction maxima, by angle, 10° ≤ 2θ ≤ 90°:
2θ (°)  d (Å)  I_rel
26.84  3.322  100.0
27.66  3.226  17.5
28.93  3.086  78.6
31.20  2.867  30.6
32.60  2.747  16.1
32.94  2.719  19.8
33.14  2.703  17.3
46.16  1.967  19.5
48.41  1.880  24.7
55.33  1.661  17.1

Atomic structure:
```
24
Lattice="5.530 -5.407 0.000 5.530 5.407 0.000 -4.873 0.000 5.734" Properties=species:S:1:pos:R:3 pbc="T T T"
Rb 1.876 3.188 4.301
Rb 4.312 -3.188 1.434
Gd 4.312 2.984 1.434
Gd 1.876 -2.984 4.301
W 1.992 0.051 1.637
W -0.444 -0.051 4.504
W 6.632 0.051 1.230
W 4.196 -0.051 4.097
O -1.865 0.994 3.996
O 1.713 1.643 0.727
O 0.571 -0.994 1.129
O 0.735 0.668 3.213
O -0.723 -1.643 3.594
O 3.171 -0.668 0.346
O 5.181 1.180 0.199
O 3.444 1.180 2.668
O 2.744 -1.180 3.066
O 1.007 -1.180 5.535
O 3.016 0.668 5.388
O 6.911 1.643 2.140
O 5.453 -0.668 2.521
O 5.617 0.994 4.605
O 4.475 -1.643 5.007
O 8.053 -0.994 1.738
```